Diffraction record for SmDy2USb4. The powder XRD pattern is theoretical, not measured: it uses the PBE geometry in Alexandria and copper Kα.
No peak broadening, texture or thermal motion is included.

Main lines, most intense first (10 to 90 degrees two-theta):
2θ (°)	I_rel
28.67	100.0
41.00	51.0
67.24	23.6
50.67	13.8
50.89	13.6
74.81	13.1
40.84	12.9
59.36	12.9
41.10	12.7
74.46	8.8

Structural model:
a b c (Å): 7.6325 7.6168 6.2305
angles (deg): 66.02 65.75 48.23
Element x y z (fractional)
1 Sm 0.0000 0.0000 0.0000
2 Dy 0.2500 0.2500 0.2500
3 Dy 0.5000 0.5000 0.5000
4 U 0.7500 0.7500 0.7500
5 Sb 0.2521 0.2521 0.7479
6 Sb 0.5017 0.5017 0.9983
7 Sb 0.7479 0.7479 0.2521
8 Sb 0.9983 0.9983 0.5017